This entry pairs a crystal structure of Li2PuU3Se6 with its simulated powder X-ray diffraction pattern. Radiation: Cu Kα X-rays. Structure: a structure optimized by DFT (PBE).
Kinematic intensities with the Lorentz-polarization factor, no thermal factor.

Top 10 peaks for 2θ = 10–80°, in order of rising 2θ:
2theta  I_rel  (hkl)
10.3  10  2 0 0
13.1  21  2 0 -1
31.2  100  6 0 0
44.0  13  2 0 -4
44.4  25  7 1 -2
45.0  24  5 1 2
45.4  12  0 2 0
56.1  13  6 2 0
73.5  12  13 1 -2
74.3  11  11 1 2

Atomic structure:
a = 17.776 Å, b = 3.993 Å, c = 8.232 Å
α = 90.00°, β = 104.37°, γ = 90.00°
Space group C2/m (No. 12)
One atom of each set of equivalent atoms:
Li: 0.170 0.000 0.344 (multiplicity 4)
Pu: 0.000 0.500 0.000 (multiplicity 2)
U: 0.000 0.500 0.500 (multiplicity 2)
U: 0.167 0.000 0.838 (multiplicity 4)
Se: 0.004 0.000 0.254 (multiplicity 4)
Se: 0.168 0.500 0.096 (multiplicity 4)
Se: 0.169 0.500 0.583 (multiplicity 4)



This entry pairs a crystal structure of Li3Y3PuSe8 with its simulated powder X-ray diffraction pattern. Radiation: Cu Kα X-rays. Structure: a structure optimized by DFT (PBE).
Kinematic intensities with the Lorentz-polarization factor, no thermal factor.

Top 10 peaks for 2θ = 10–80°, in order of rising 2θ:
2theta  I_rel  (hkl)
13.3  13  1 0 1
13.6  43  0 0 3
25.6  30  0 2 1
31.2  100  0 2 4
34.2  14  2 0 5
44.3  38  2 2 0
45.2  36  2 0 8
55.2  20  4 0 4
73.3  17  2 4 4
74.7  16  2 2 12

Atomic structure:
a = 8.1797 Å, b = 8.1797 Å, c = 19.4800 Å
α = 90.00°, β = 90.00°, γ = 120.00°
Space group R-3m (No. 166, hexagonal axes)
One atom of each set of equivalent atoms:
Li: 0.0000 0.5000 0.0000 (multiplicity 9)
Y: 0.0000 0.5000 0.5000 (multiplicity 9)
Pu: 0.0000 0.0000 0.5000 (multiplicity 3)
Se: 0.0000 0.0000 0.2512 (multiplicity 6)
Se: 0.0048 0.5024 0.2494 (multiplicity 18)



This entry pairs a crystal structure of LiY3Pu3Se8 with its simulated powder X-ray diffraction pattern. Radiation: Cu Kα X-rays. Structure: a structure optimized by DFT (PBE).
Kinematic intensities with the Lorentz-polarization factor, no thermal factor.

Top 10 peaks for 2θ = 10–80°, in order of rising 2θ:
2theta  I_rel  (hkl)
13.3  19  0 0 3
15.3  21  0 1 2
21.7  19  1 0 4
25.5  15  0 2 1
30.9  100  0 2 4
44.2  74  2 0 8
54.9  20  4 0 4
64.3  12  0 4 8
73.0  17  2 4 4
73.1  17  2 2 12

Atomic structure:
a = 8.1999 Å, b = 8.1999 Å, c = 20.0257 Å
α = 90.00°, β = 90.00°, γ = 120.00°
Space group R-3m (No. 166, hexagonal axes)
One atom of each set of equivalent atoms:
Li: 0.0000 0.0000 0.0000 (multiplicity 3)
Y: 0.0000 0.5000 0.5000 (multiplicity 9)
Pu: 0.0000 0.5000 0.0000 (multiplicity 9)
Se: 0.0000 0.0000 0.2489 (multiplicity 6)
Se: 0.0071 0.5036 0.7499 (multiplicity 18)



This entry pairs a crystal structure of LiPu2Sn9 with its simulated powder X-ray diffraction pattern. Radiation: Cu Kα X-rays. Structure: a structure optimized by DFT (PBE).
Kinematic intensities with the Lorentz-polarization factor, no thermal factor.

Top 10 peaks for 2θ = 10–80°, in order of rising 2θ:
2theta  I_rel  (hkl)
11.1  15  1 0 0
22.1  35  0 1 1
28.0  27  2 1 -1
30.9  25  3 0 -2
34.8  100  1 1 -3
36.4  47  3 1 -1
37.2  27  2 0 2
39.4  27  0 2 0
55.3  18  2 2 2
68.5  15  1 3 -3

Atomic structure:
a = 8.875 Å, b = 4.574 Å, c = 9.398 Å
α = 90.00°, β = 116.09°, γ = 90.00°
Space group P2/m (No. 10)
One atom of each set of equivalent atoms:
Li: 0.000 0.000 0.000 (multiplicity 1)
Pu: 0.114 0.000 0.358 (multiplicity 2)
Sn: 0.000 0.500 0.500 (multiplicity 1)
Sn: 0.112 0.500 0.880 (multiplicity 2)
Sn: 0.300 0.500 0.240 (multiplicity 2)
Sn: 0.306 0.000 0.745 (multiplicity 2)
Sn: 0.500 0.000 0.500 (multiplicity 1)
Sn: 0.500 0.500 0.000 (multiplicity 1)



This entry pairs a crystal structure of LiPuSn with its simulated powder X-ray diffraction pattern. Radiation: Cu Kα X-rays. Structure: a structure optimized by DFT (PBE).
Kinematic intensities with the Lorentz-polarization factor, no thermal factor.

Top 10 peaks for 2θ = 10–80°, in order of rising 2θ:
2theta  I_rel  (hkl)
20.4  38  1 0 0
25.1  16  1 0 1
35.8  100  1 1 0
41.5  6  2 0 0
44.2  4  2 0 1
51.5  21  2 0 2
55.9  5  2 1 0
64.3  30  3 0 0
72.1  13  1 1 4
75.8  5  2 2 0

Atomic structure:
a = 5.0218 Å, b = 5.0218 Å, c = 6.1399 Å
α = 90.00°, β = 90.00°, γ = 120.00°
Space group P6_3/mmc (No. 194)
One atom of each set of equivalent atoms:
Li: 0.3333 0.6667 0.2500 (multiplicity 2)
Pu: 0.0000 0.0000 0.0000 (multiplicity 2)
Sn: 0.3333 0.6667 0.7500 (multiplicity 2)



This entry pairs a crystal structure of LiTb2PuTe4 with its simulated powder X-ray diffraction pattern. Radiation: Cu Kα X-rays. Structure: a structure optimized by DFT (PBE).
Kinematic intensities with the Lorentz-polarization factor, no thermal factor.

Top 10 peaks for 2θ = 10–80°, in order of rising 2θ:
2theta  I_rel  (hkl)
12.4  10  1 0 0
28.8  100  1 1 1
41.1  38  1 1 -3
41.3  38  0 2 0
51.2  20  2 2 -2
59.8  9  2 2 2
67.6  18  0 2 4
67.8  12  1 3 1
75.2  11  4 2 -4
75.3  9  1 3 -3

Atomic structure:
a = 7.582 Å, b = 4.366 Å, c = 7.616 Å
α = 90.00°, β = 109.49°, γ = 90.00°
Space group P2/m (No. 10)
One atom of each set of equivalent atoms:
Li: 0.000 0.000 0.000 (multiplicity 1)
Tb: 0.000 0.500 0.500 (multiplicity 1)
Tb: 0.500 0.000 0.500 (multiplicity 1)
Pu: 0.500 0.500 0.000 (multiplicity 1)
Te: 0.242 0.500 0.246 (multiplicity 2)
Te: 0.244 0.000 0.751 (multiplicity 2)



This entry pairs a crystal structure of LiTm2Pu3Te6 with its simulated powder X-ray diffraction pattern. Radiation: Cu Kα X-rays. Structure: a structure optimized by DFT (PBE).
Kinematic intensities with the Lorentz-polarization factor, no thermal factor.

Top 10 peaks for 2θ = 10–80°, in order of rising 2θ:
2theta  I_rel  (hkl)
28.9  100  6 0 0
41.2  39  5 1 2
41.4  38  0 2 0
51.0  7  4 0 4
51.2  20  6 2 0
59.9  9  2 2 -4
67.7  12  4 2 4
67.9  11  8 2 -4
75.0  7  10 0 4
75.4  15  5 3 2

Atomic structure:
a = 19.062 Å, b = 4.360 Å, c = 8.757 Å
α = 90.00°, β = 102.98°, γ = 90.00°
Space group C2/m (No. 12)
One atom of each set of equivalent atoms:
Li: 0.000 0.000 0.000 (multiplicity 2)
Tm: 0.165 0.500 0.335 (multiplicity 4)
Pu: 0.000 0.000 0.500 (multiplicity 2)
Pu: 0.167 0.500 0.837 (multiplicity 4)
Te: 0.003 0.500 0.240 (multiplicity 4)
Te: 0.163 0.000 0.091 (multiplicity 4)
Te: 0.170 0.000 0.581 (multiplicity 4)



This entry pairs a crystal structure of Li3Pu2UTe6 with its simulated powder X-ray diffraction pattern. Radiation: Cu Kα X-rays. Structure: a structure optimized by DFT (PBE).
Kinematic intensities with the Lorentz-polarization factor, no thermal factor.

Top 10 peaks for 2θ = 10–80°, in order of rising 2θ:
2theta  I_rel  (hkl)
12.6  43  0 0 1
23.8  36  1 3 0
29.0  100  1 3 1
31.7  20  2 0 1
41.1  39  0 6 0
41.8  37  2 0 2
43.2  14  3 3 0
51.1  21  4 0 0
67.5  18  4 6 0
68.5  17  3 3 3

Atomic structure:
a = 7.608 Å, b = 13.180 Å, c = 7.459 Å
α = 90.00°, β = 109.89°, γ = 90.00°
Space group C2/m (No. 12)
One atom of each set of equivalent atoms:
Li: 0.000 0.000 0.000 (multiplicity 2)
Li: 0.000 0.334 0.000 (multiplicity 4)
Pu: 0.000 0.167 0.500 (multiplicity 4)
U: 0.000 0.500 0.500 (multiplicity 2)
Te: 0.243 0.500 0.243 (multiplicity 4)
Te: 0.250 0.164 0.242 (multiplicity 8)